No. 1
Simulated powder diffraction line list
Compound: Cs3AsSe4
Radiation: Cu Kα (λ = 1.5418 Å)
Structure: a DFT-relaxed cell (GGA-PBE, Alexandria)

Structure:
```
data_Cs3AsSe4
_chemical_formula_sum 'Cs6 As2 Se8'
_space_group_name_H-M_alt 'I m m 2'
_space_group_IT_number 44
_cell_length_a 7.443
_cell_length_b 10.833
_cell_length_c 8.257
_cell_angle_alpha 90.00
_cell_angle_beta 90.00
_cell_angle_gamma 90.00
loop_
_space_group_symop_operation_xyz
'x,y,z'
'-x,-y,z'
'-x,y,z'
'x,-y,z'
'x+1/2,y+1/2,z+1/2'
'-x+1/2,-y+1/2,z+1/2'
'-x+1/2,y+1/2,z+1/2'
'x+1/2,-y+1/2,z+1/2'
loop_
_atom_site_label
_atom_site_type_symbol
_atom_site_fract_x
_atom_site_fract_y
_atom_site_fract_z
Cs1 Cs 0.000 0.000 0.000
Cs2 Cs 0.000 0.251 0.606
As1 As 0.000 0.500 0.022
Se1 Se 0.000 0.320 0.183
Se2 Se 0.238 0.000 0.363
```

Principal peaks in the range 2θ from 5° to 70°, low angle first:
two_theta, I (rel.)
22.99, 100.0
23.91, 36.0
27.16, 59.8
27.52, 36.0
32.39, 50.0
33.08, 25.0
46.97, 27.1
53.51, 24.5


No. 2
Simulated powder diffraction line list
Compound: Cs2AsSe3
Radiation: Cu Kα (λ = 1.5418 Å)
Structure: a DFT-relaxed cell (GGA-PBE, Alexandria)

Structure:
```
data_Cs2AsSe3
_chemical_formula_sum 'Cs8 As4 Se12'
_space_group_name_H-M_alt 'C m c m'
_space_group_IT_number 63
_space_group_name_Hall '-C 2c 2'
_cell_length_a 13.789
_cell_length_b 9.564
_cell_length_c 6.798
_cell_angle_alpha 90.00
_cell_angle_beta 90.00
_cell_angle_gamma 90.00
loop_
_atom_site_label
_atom_site_type_symbol
_atom_site_fract_x
_atom_site_fract_y
_atom_site_fract_z
Cs1 Cs 0.150 0.162 0.250
As1 As 0.000 0.426 0.750
Se1 Se 0.000 0.174 0.750
Se2 Se 0.136 0.500 0.000
```

Principal peaks in the range 2θ from 5° to 70°, low angle first:
two_theta, I (rel.)
22.74, 33.8
25.17, 100.0
26.21, 20.0
28.74, 43.6
32.31, 19.8
34.12, 39.8
39.23, 20.3
54.76, 21.0